Record 1
Diffraction record for La3Tb2PuTe6. The XRD peak list is theoretical, not measured: it uses a crystal structure in Alexandria, relaxed with PBE and Cu Kα (λ = 1.5418 Å).
Intensities are scaled so that the largest is 1000.

Most intense lines, 2θ = 15–90°, low angle first:
2θ = 28.1°, intensity 1000; 2θ = 40.0°, intensity 128; 2θ = 40.1°, intensity 253; 2θ = 40.3°, intensity 255; 2θ = 40.5°, intensity 127; 2θ = 49.7°, intensity 69; 2θ = 50.0°, intensity 136; 2θ = 58.2°, intensity 127; 2θ = 65.7°, intensity 114; 2θ = 66.0°, intensity 118

Structure:
Cell lengths 10.0449, 10.0449, 9.0231 Å; angles 103.34, 103.34, 25.65 degrees
Positions (direct):
La: 0.0000 0.0000 0.0000
La: 0.3345 0.3345 0.6668
La: 0.6655 0.6655 0.3332
Tb: 0.3353 0.3353 0.1707
Tb: 0.6647 0.6647 0.8293
Pu: 0.0000 0.0000 0.5000
Te: 0.1649 0.1649 0.5916
Te: 0.1709 0.1709 0.0741
Te: 0.4968 0.4968 0.2558
Te: 0.5032 0.5032 0.7442
Te: 0.8291 0.8291 0.9259
Te: 0.8351 0.8351 0.4084


Record 2
Diffraction record for LaPu4Te5. The XRD peak list is theoretical, not measured: it uses a crystal structure in Alexandria, relaxed with PBE and Cu Kα (λ = 1.5418 Å).
Intensities are scaled so that the largest is 1000.

Most intense lines, 2θ = 15–90°, low angle first:
2θ = 24.4°, intensity 131; 2θ = 28.2°, intensity 1000; 2θ = 40.4°, intensity 773; 2θ = 47.7°, intensity 74; 2θ = 50.0°, intensity 280; 2θ = 58.4°, intensity 132; 2θ = 66.1°, intensity 302; 2θ = 73.3°, intensity 178; 2θ = 73.4°, intensity 90; 2θ = 87.2°, intensity 73

Structure:
Cell lengths 11.8332, 11.8332, 11.8332 Å; angles 158.25, 149.00, 38.19 degrees
Positions (direct):
La: 0.0000 0.0000 0.0000
Pu: 0.2021 0.2021 0.0000
Pu: 0.4005 0.4005 0.0000
Pu: 0.5995 0.5995 0.0000
Pu: 0.7979 0.7979 0.0000
Te: 0.1042 0.6042 0.5000
Te: 0.3012 0.8012 0.5000
Te: 0.5000 0.0000 0.5000
Te: 0.6988 0.1988 0.5000
Te: 0.8958 0.3958 0.5000


Record 3
Diffraction record for La3PuTe6. The XRD peak list is theoretical, not measured: it uses a crystal structure in Alexandria, relaxed with PBE and Cu Kα (λ = 1.5418 Å).
Intensities are scaled so that the largest is 1000.

Most intense lines, 2θ = 15–90°, low angle first:
2θ = 20.8°, intensity 382; 2θ = 24.2°, intensity 405; 2θ = 26.8°, intensity 1000; 2θ = 27.5°, intensity 605; 2θ = 28.2°, intensity 384; 2θ = 29.5°, intensity 757; 2θ = 30.7°, intensity 435; 2θ = 36.3°, intensity 672; 2θ = 37.5°, intensity 425; 2θ = 39.7°, intensity 682

Structure:
Cell lengths 12.8412, 4.5422, 13.2287 Å; angles 90.00, 108.69, 90.00 degrees
Positions (direct):
La: 0.0800 0.2500 0.1691
La: 0.1824 0.7500 0.5053
La: 0.3424 0.2500 0.9244
La: 0.6576 0.7500 0.0756
La: 0.8176 0.2500 0.4947
La: 0.9200 0.7500 0.8309
Pu: 0.4584 0.2500 0.3124
Pu: 0.5416 0.7500 0.6876
Te: 0.0155 0.2500 0.3805
Te: 0.0978 0.2500 0.9310
Te: 0.2591 0.7500 0.2866
Te: 0.3140 0.7500 0.7520
Te: 0.3914 0.2500 0.5388
Te: 0.4179 0.7500 0.1081
Te: 0.5821 0.2500 0.8919
Te: 0.6086 0.7500 0.4612
Te: 0.6860 0.2500 0.2480
Te: 0.7409 0.2500 0.7134
Te: 0.9022 0.7500 0.0690
Te: 0.9845 0.7500 0.6195


Record 4
Diffraction record for LaPu2Te4. The XRD peak list is theoretical, not measured: it uses a crystal structure in Alexandria, relaxed with PBE and Cu Kα (λ = 1.5418 Å).
Intensities are scaled so that the largest is 1000.

Most intense lines, 2θ = 15–90°, low angle first:
2θ = 21.5°, intensity 736; 2θ = 26.6°, intensity 520; 2θ = 27.4°, intensity 449; 2θ = 28.0°, intensity 838; 2θ = 29.9°, intensity 1000; 2θ = 36.5°, intensity 720; 2θ = 40.9°, intensity 426; 2θ = 41.4°, intensity 445; 2θ = 41.5°, intensity 438; 2θ = 59.7°, intensity 303

Structure:
Cell lengths 7.5702, 7.5702, 15.1335 Å; angles 90.00, 90.00, 146.13 degrees
Positions (direct):
La: 0.1160 0.8840 0.7500
La: 0.8840 0.1160 0.2500
Pu: 0.3655 0.6345 0.5641
Pu: 0.3655 0.6345 0.9359
Pu: 0.6345 0.3655 0.0641
Pu: 0.6345 0.3655 0.4359
Te: 0.0000 0.0000 0.0000
Te: 0.0000 0.0000 0.5000
Te: 0.2746 0.7254 0.1244
Te: 0.2746 0.7254 0.3756
Te: 0.4552 0.5448 0.7500
Te: 0.5448 0.4552 0.2500
Te: 0.7254 0.2746 0.6244
Te: 0.7254 0.2746 0.8756


Record 5
Diffraction record for La3Tm2PuTe6. The XRD peak list is theoretical, not measured: it uses a crystal structure in Alexandria, relaxed with PBE and Cu Kα (λ = 1.5418 Å).
Intensities are scaled so that the largest is 1000.

Most intense lines, 2θ = 15–90°, low angle first:
2θ = 24.8°, intensity 455; 2θ = 29.4°, intensity 501; 2θ = 32.0°, intensity 1000; 2θ = 32.6°, intensity 858; 2θ = 34.1°, intensity 503; 2θ = 34.9°, intensity 407; 2θ = 35.1°, intensity 570; 2θ = 41.0°, intensity 423; 2θ = 45.0°, intensity 484; 2θ = 56.3°, intensity 402

Structure:
Cell lengths 8.9163, 8.9163, 11.1972 Å; angles 107.88, 107.88, 26.12 degrees
Positions (direct):
La: 0.0000 0.0000 0.0000
La: 0.3240 0.3240 0.1826
La: 0.6760 0.6760 0.8174
Tm: 0.1605 0.1605 0.3137
Tm: 0.8395 0.8395 0.6863
Pu: 0.0000 0.0000 0.5000
Te: 0.1912 0.1912 0.5973
Te: 0.3384 0.3384 0.9067
Te: 0.4815 0.4815 0.7212
Te: 0.5185 0.5185 0.2788
Te: 0.6616 0.6616 0.0933
Te: 0.8088 0.8088 0.4027


Record 6
Diffraction record for La5Y8Pu. The XRD peak list is theoretical, not measured: it uses a crystal structure in Alexandria, relaxed with PBE and Cu Kα (λ = 1.5418 Å).
Intensities are scaled so that the largest is 1000.

Most intense lines, 2θ = 15–90°, low angle first:
2θ = 21.2°, intensity 368; 2θ = 25.0°, intensity 164; 2θ = 26.7°, intensity 219; 2θ = 27.6°, intensity 143; 2θ = 31.4°, intensity 1000; 2θ = 32.1°, intensity 441; 2θ = 32.5°, intensity 388; 2θ = 34.2°, intensity 310; 2θ = 34.6°, intensity 350; 2θ = 47.9°, intensity 143

Structure:
Cell lengths 8.7530, 8.7530, 8.7530 Å; angles 102.03, 102.03, 125.68 degrees
Positions (direct):
La: 0.0000 0.0000 0.0000
La: 0.2240 0.4299 0.7940
La: 0.5701 0.3641 0.7940
La: 0.5701 0.7760 0.2060
La: 0.6359 0.4299 0.2060
Y: 0.0339 0.5339 0.0678
Y: 0.0339 0.9661 0.5000
Y: 0.4050 0.0690 0.3360
Y: 0.4661 0.5339 0.5000
Y: 0.4661 0.9661 0.9322
Y: 0.7329 0.0690 0.6640
Y: 0.9310 0.2671 0.3360
Y: 0.9310 0.5950 0.6640
Pu: 0.2500 0.7500 0.5000


Record 7
Diffraction record for La6Y4Pu. The XRD peak list is theoretical, not measured: it uses a crystal structure in Alexandria, relaxed with PBE and Cu Kα (λ = 1.5418 Å).
Intensities are scaled so that the largest is 1000.

Most intense lines, 2θ = 15–90°, low angle first:
2θ = 26.1°, intensity 380; 2θ = 29.0°, intensity 689; 2θ = 30.3°, intensity 749; 2θ = 31.0°, intensity 590; 2θ = 31.1°, intensity 1000; 2θ = 32.8°, intensity 374; 2θ = 33.9°, intensity 461; 2θ = 34.7°, intensity 649; 2θ = 37.9°, intensity 237; 2θ = 50.5°, intensity 360

Structure:
Cell lengths 11.9413, 11.9413, 17.8537 Å; angles 90.00, 90.00, 162.59 degrees
Positions (direct):
La: 0.0000 0.0000 0.0000
La: 0.0000 0.0000 0.5000
La: 0.2559 0.7441 0.7500
La: 0.2594 0.7406 0.0826
La: 0.2594 0.7406 0.4174
La: 0.4855 0.5145 0.6638
La: 0.4855 0.5145 0.8362
La: 0.5145 0.4855 0.1638
La: 0.5145 0.4855 0.3362
La: 0.7406 0.2594 0.5826
La: 0.7406 0.2594 0.9174
La: 0.7441 0.2559 0.2500
Y: 0.1161 0.8839 0.6423
Y: 0.1161 0.8839 0.8577
Y: 0.3701 0.6299 0.5455
Y: 0.3701 0.6299 0.9545
Y: 0.6299 0.3701 0.0455
Y: 0.6299 0.3701 0.4545
Y: 0.8839 0.1161 0.1423
Y: 0.8839 0.1161 0.3577
Pu: 0.1284 0.8716 0.2500
Pu: 0.8716 0.1284 0.7500


Record 8
Diffraction record for RbLa. The XRD peak list is theoretical, not measured: it uses a crystal structure in Alexandria, relaxed with PBE and Cu Kα (λ = 1.5418 Å).
Intensities are scaled so that the largest is 1000.

Most intense lines, 2θ = 15–90°, low angle first:
2θ = 23.3°, intensity 330; 2θ = 24.8°, intensity 433; 2θ = 26.1°, intensity 500; 2θ = 26.6°, intensity 347; 2θ = 29.1°, intensity 1000; 2θ = 29.9°, intensity 229; 2θ = 33.6°, intensity 365; 2θ = 37.7°, intensity 482; 2θ = 45.3°, intensity 222; 2θ = 54.0°, intensity 215

Structure:
Cell lengths 15.2534, 15.2534, 3.8392 Å; angles 90.00, 90.00, 90.00 degrees
Positions (direct):
Rb: 0.1295 0.1711 0.0000
Rb: 0.1711 0.8705 0.0000
Rb: 0.3289 0.6295 0.5000
Rb: 0.3705 0.3289 0.5000
Rb: 0.6295 0.6711 0.5000
Rb: 0.6711 0.3705 0.5000
Rb: 0.8289 0.1295 0.0000
Rb: 0.8705 0.8289 0.0000
La: 0.0468 0.6240 0.5000
La: 0.1240 0.4532 0.0000
La: 0.3760 0.0468 0.5000
La: 0.4532 0.8760 0.0000
La: 0.5468 0.1240 0.0000
La: 0.6240 0.9532 0.5000
La: 0.8760 0.5468 0.0000
La: 0.9532 0.3760 0.5000


Record 9
Diffraction record for RbLa. The XRD peak list is theoretical, not measured: it uses a crystal structure in Alexandria, relaxed with PBE and Cu Kα (λ = 1.5418 Å).
Intensities are scaled so that the largest is 1000.

Most intense lines, 2θ = 15–90°, low angle first:
2θ = 19.3°, intensity 577; 2θ = 25.5°, intensity 592; 2θ = 25.6°, intensity 1000; 2θ = 26.8°, intensity 613; 2θ = 27.7°, intensity 238; 2θ = 29.4°, intensity 663; 2θ = 33.7°, intensity 286; 2θ = 41.9°, intensity 328; 2θ = 42.8°, intensity 235; 2θ = 45.9°, intensity 254

Structure:
Cell lengths 18.3924, 3.7805, 10.6670 Å; angles 90.00, 90.00, 90.00 degrees
Positions (direct):
Rb: 0.0000 0.1912 0.0000
Rb: 0.2210 0.8046 0.6745
Rb: 0.2789 0.1954 0.1745
Rb: 0.5000 0.8088 0.5000
Rb: 0.7210 0.1954 0.1745
Rb: 0.7790 0.8046 0.6745
La: 0.0000 0.1967 0.5983
La: 0.0819 0.6882 0.3560
La: 0.4181 0.3118 0.8560
La: 0.5000 0.8033 0.0983
La: 0.5819 0.3118 0.8560
La: 0.9181 0.6882 0.3560


Record 10
Diffraction record for RbLa2Re. The XRD peak list is theoretical, not measured: it uses a crystal structure in Alexandria, relaxed with PBE and Cu Kα (λ = 1.5418 Å).
Intensities are scaled so that the largest is 1000.

Most intense lines, 2θ = 15–90°, low angle first:
2θ = 20.9°, intensity 1000; 2θ = 25.7°, intensity 417; 2θ = 32.5°, intensity 383; 2θ = 36.6°, intensity 481; 2θ = 42.5°, intensity 640; 2θ = 44.6°, intensity 323; 2θ = 47.8°, intensity 225; 2θ = 50.3°, intensity 198; 2θ = 57.3°, intensity 263; 2θ = 77.8°, intensity 217

Structure:
Cell lengths 8.4976, 8.4976, 12.0347 Å; angles 90.00, 90.00, 90.00 degrees
Positions (direct):
Rb: 0.0000 0.2500 0.3750
Rb: 0.0000 0.7500 0.6250
Rb: 0.5000 0.2500 0.1250
Rb: 0.5000 0.7500 0.8750
La: 0.0000 0.0000 0.0000
La: 0.0000 0.5000 0.0000
La: 0.2500 0.2500 0.7500
La: 0.2500 0.7500 0.2500
La: 0.5000 0.0000 0.5000
La: 0.5000 0.5000 0.5000
La: 0.7500 0.2500 0.7500
La: 0.7500 0.7500 0.2500
Re: 0.0000 0.2500 0.8750
Re: 0.0000 0.7500 0.1250
Re: 0.5000 0.2500 0.6250
Re: 0.5000 0.7500 0.3750


Record 11
Diffraction record for Rb3LaRu. The XRD peak list is theoretical, not measured: it uses a crystal structure in Alexandria, relaxed with PBE and Cu Kα (λ = 1.5418 Å).
Intensities are scaled so that the largest is 1000.

Most intense lines, 2θ = 15–90°, low angle first:
2θ = 15.8°, intensity 326; 2θ = 21.1°, intensity 726; 2θ = 22.6°, intensity 603; 2θ = 24.0°, intensity 596; 2θ = 24.4°, intensity 489; 2θ = 24.7°, intensity 505; 2θ = 25.1°, intensity 1000; 2θ = 26.4°, intensity 393; 2θ = 31.8°, intensity 361; 2θ = 35.9°, intensity 483

Structure:
Cell lengths 5.0371, 7.1329, 16.9397 Å; angles 90.08, 95.45, 95.53 degrees
Positions (direct):
Rb: 0.0000 0.0000 0.0000
Rb: 0.0650 0.5077 0.1907
Rb: 0.3103 0.4915 0.4769
Rb: 0.4787 0.4977 0.9347
Rb: 0.6232 0.0072 0.3034
Rb: 0.8681 0.9894 0.5824
La: 0.4285 0.9925 0.7765
La: 0.9185 0.4921 0.7502
Ru: 0.8874 0.1731 0.7934
Ru: 0.9803 0.8134 0.7936


Record 12
Diffraction record for RbLaSiS4. The XRD peak list is theoretical, not measured: it uses a crystal structure in Alexandria, relaxed with PBE and Cu Kα (λ = 1.5418 Å).
Intensities are scaled so that the largest is 1000.

Most intense lines, 2θ = 15–90°, low angle first:
2θ = 18.8°, intensity 514; 2θ = 24.3°, intensity 598; 2θ = 26.7°, intensity 652; 2θ = 27.8°, intensity 479; 2θ = 28.8°, intensity 1000; 2θ = 31.8°, intensity 427; 2θ = 33.7°, intensity 799; 2θ = 33.8°, intensity 370; 2θ = 39.6°, intensity 682; 2θ = 43.4°, intensity 625

Structure:
Cell lengths 17.5723, 6.6855, 6.6359 Å; angles 90.00, 90.00, 90.00 degrees
Positions (direct):
Rb: 0.2165 0.2500 0.0355
Rb: 0.2835 0.7500 0.5355
Rb: 0.7165 0.2500 0.4645
Rb: 0.7835 0.7500 0.9645
La: 0.0249 0.7500 0.7133
La: 0.4751 0.2500 0.2133
La: 0.5249 0.7500 0.7867
La: 0.9751 0.2500 0.2867
Si: 0.0880 0.7500 0.2150
Si: 0.4120 0.2500 0.7150
Si: 0.5880 0.7500 0.2850
Si: 0.9120 0.2500 0.7850
S: 0.0295 0.2500 0.8704
S: 0.1067 0.0003 0.4093
S: 0.1067 0.4997 0.4093
S: 0.1610 0.7500 0.9619
S: 0.3390 0.2500 0.4619
S: 0.3933 0.9997 0.9093
S: 0.3933 0.5003 0.9093
S: 0.4705 0.7500 0.3704
S: 0.5295 0.2500 0.6296
S: 0.6067 0.0003 0.0907
S: 0.6067 0.4997 0.0907
S: 0.6610 0.7500 0.5381
S: 0.8390 0.2500 0.0381
S: 0.8933 0.9997 0.5907
S: 0.8933 0.5003 0.5907
S: 0.9705 0.7500 0.1296